No. 1
# NaAl3Ag9
Simulated powder XRD pattern, Cu Kα (weighted mean of Kα1 and Kα2). Input: a GGA-PBE-relaxed structure.
No peak broadening, texture or thermal motion is included.

Top 10 peaks for 10 to 90 degrees two-theta, most intense first:
37.83°, I 100.0; 38.14°, I 75.8; 42.37°, I 59.5; 33.27°, I 50.0; 43.01°, I 46.2; 43.18°, I 40.5; 19.23°, I 38.4; 33.45°, I 35.8; 13.39°, I 35.7; 42.52°, I 29.8

Structure:
```
NaAl3Ag9
1.0
2.6957 -6.7325 0.0000
2.6957 6.7325 0.0000
-2.4036 0.0000 6.6111
Na Al Ag
1 3 9
Direct
0.0000 0.0000 0.0000
0.0000 0.5000 0.0000
0.5000 0.0000 0.0000
0.5000 0.5000 0.5000
0.0000 0.0000 0.5000
0.0195 0.6670 0.6604
0.2981 0.5182 0.7839
0.3330 0.9805 0.3396
0.4818 0.7019 0.2161
0.5182 0.2981 0.7839
0.6670 0.0195 0.6604
0.7019 0.4818 0.2161
0.9805 0.3330 0.3396
```

***

No. 2
# Er3ScZn2
Simulated powder XRD pattern, Cu Kα (weighted mean of Kα1 and Kα2). Input: a GGA-PBE-relaxed structure.
No peak broadening, texture or thermal motion is included.

Top 10 peaks for 10 to 90 degrees two-theta, most intense first:
34.36°, I 100.0; 36.19°, I 53.0; 63.92°, I 32.3; 25.37°, I 26.5; 52.11°, I 18.5; 40.10°, I 18.4; 87.93°, I 14.9; 22.78°, I 11.8; 60.32°, I 9.9; 67.52°, I 9.6

Structure:
```
Er3ScZn2
1.0
3.5103 0.0000 0.0000
0.0000 3.5103 0.0000
0.0000 0.0000 11.7115
Er Sc Zn
3 1 2
Direct
0.0000 0.0000 0.0000
0.0000 0.0000 0.3012
0.0000 0.0000 0.6988
0.5000 0.5000 0.5000
0.5000 0.5000 0.1509
0.5000 0.5000 0.8491
```

***

No. 3
# CsAgCl3
Simulated powder XRD pattern, Cu Kα (weighted mean of Kα1 and Kα2). Input: a GGA-PBE-relaxed structure.
No peak broadening, texture or thermal motion is included.

Top 10 peaks for 10 to 90 degrees two-theta, most intense first:
23.69°, I 100.0; 34.52°, I 53.0; 24.22°, I 46.7; 42.30°, I 42.6; 48.49°, I 36.6; 32.97°, I 29.2; 41.33°, I 21.4; 29.35°, I 20.9; 60.88°, I 17.7; 49.62°, I 17.5

Structure:
```
CsAgCl3
1.0
-3.6741 3.6741 5.4329
3.6741 -3.6741 5.4329
3.6741 3.6741 -5.4329
Cs Ag Cl
2 2 6
Direct
0.2500 0.7500 0.5000
0.7500 0.2500 0.5000
0.0000 0.0000 0.0000
0.5000 0.5000 0.0000
0.2242 0.2242 0.0000
0.2628 0.2628 0.5256
0.2628 0.7372 0.0000
0.7372 0.2628 0.0000
0.7372 0.7372 0.4744
0.7758 0.7758 0.0000
```

***

No. 4
# Sc7Cd2Co2
Simulated powder XRD pattern, Cu Kα (weighted mean of Kα1 and Kα2). Input: a GGA-PBE-relaxed structure.
No peak broadening, texture or thermal motion is included.

Top 10 peaks for 10 to 90 degrees two-theta, most intense first:
36.84°, I 100.0; 34.47°, I 76.3; 22.75°, I 73.8; 37.80°, I 45.6; 34.02°, I 34.5; 66.80°, I 29.1; 28.64°, I 27.0; 42.19°, I 26.0; 55.31°, I 25.5; 34.32°, I 24.9

Structure:
```
Sc7Cd2Co2
1.0
-1.6614 7.8385 4.5004
1.6614 -7.8385 4.5004
1.6614 7.8385 -4.5004
Sc Cd Co
7 2 2
Direct
0.0000 0.0000 0.0000
0.3007 0.4430 0.8578
0.3136 0.6315 0.6821
0.5852 0.4430 0.1422
0.6220 0.2752 0.3468
0.9285 0.2752 0.6532
0.9494 0.6315 0.3179
0.2819 0.7819 0.5000
0.6630 0.6630 0.0000
0.1695 0.9304 0.2391
0.6913 0.9304 0.7609
```

***

No. 5
# Hf4Zr6Sc19
Simulated powder XRD pattern, Cu Kα (weighted mean of Kα1 and Kα2). Input: a GGA-PBE-relaxed structure.
No peak broadening, texture or thermal motion is included.

Top 10 peaks for 10 to 90 degrees two-theta, most intense first:
34.47°, I 100.0; 34.98°, I 79.1; 16.95°, I 66.9; 33.37°, I 65.0; 35.43°, I 61.9; 34.00°, I 54.6; 17.35°, I 54.0; 37.26°, I 47.9; 36.75°, I 46.3; 16.79°, I 41.6

Structure:
```
Hf4Zr6Sc19
1.0
8.6275 0.0000 0.0000
-2.3397 8.4961 0.0000
-2.2819 -4.4332 9.4607
Hf Zr Sc
4 6 19
Direct
0.0000 0.0000 0.0000
0.1665 0.4875 0.7557
0.4660 0.0014 0.5886
0.6464 0.5081 0.2382
0.3438 0.6887 0.2935
0.5710 0.4099 0.4640
0.6023 0.0239 0.3354
0.6735 0.7004 0.7876
0.7465 0.1342 0.1185
0.9534 0.4832 0.1533
0.0665 0.7834 0.4485
0.1130 0.7115 0.0070
0.1607 0.3044 0.2819
0.1910 0.0989 0.7593
0.2008 0.3670 0.0100
0.2445 0.0185 0.3322
0.3347 0.6242 0.5585
0.3805 0.1280 0.1148
0.3899 0.3348 0.6470
0.4165 0.8945 0.8488
0.4821 0.6916 0.0274
0.5816 0.3367 0.9305
0.7079 0.8039 0.5205
0.7907 0.3649 0.7056
0.8141 0.1030 0.8185
0.8516 0.8304 0.1910
0.9100 0.4154 0.4296
0.9776 0.1304 0.5124
0.9954 0.7351 0.7129
```

***

No. 6
# NdSmHoPu
Simulated powder XRD pattern, Cu Kα (weighted mean of Kα1 and Kα2). Input: a GGA-PBE-relaxed structure.
No peak broadening, texture or thermal motion is included.

Top 10 peaks for 10 to 90 degrees two-theta, most intense first:
31.59°, I 100.0; 56.26°, I 39.6; 45.29°, I 18.7; 74.99°, I 17.1; 65.97°, I 12.3; 83.64°, I 4.3; 22.20°, I 2.5; 19.19°, I 2.2; 37.23°, I 1.4; 50.99°, I 1.2

Structure:
```
NdSmHoPu
1.0
0.0000 4.0050 4.0050
4.0050 0.0000 4.0050
4.0050 4.0050 0.0000
Nd Sm Ho Pu
1 1 1 1
Direct
0.0000 0.0000 0.0000
0.5000 0.5000 0.5000
0.7500 0.7500 0.7500
0.2500 0.2500 0.2500
```

***

No. 7
# Tb8Bi3Te4
Simulated powder XRD pattern, Cu Kα (weighted mean of Kα1 and Kα2). Input: a GGA-PBE-relaxed structure.
No peak broadening, texture or thermal motion is included.

Top 10 peaks for 10 to 90 degrees two-theta, most intense first:
28.82°, I 100.0; 41.21°, I 51.1; 67.60°, I 17.8; 50.96°, I 13.9; 51.18°, I 13.6; 41.09°, I 12.9; 41.35°, I 12.6; 74.95°, I 8.8; 67.72°, I 8.8; 75.24°, I 8.8

Structure:
```
Tb8Bi3Te4
1.0
6.1882 -6.1961 0.0000
6.1882 6.1961 0.0000
-6.1500 0.0000 6.2011
Tb Bi Te
8 3 4
Direct
0.2433 0.2433 0.0014
0.2457 0.7543 0.0000
0.2488 0.2488 0.4959
0.2501 0.7499 0.5000
0.7499 0.2501 0.5000
0.7512 0.7512 0.5041
0.7543 0.2457 0.0000
0.7567 0.7567 0.9986
0.0000 0.0000 0.5000
0.0000 0.5000 0.0000
0.5000 0.0000 0.0000
0.0000 0.5000 0.5000
0.5000 0.0000 0.5000
0.5000 0.5000 0.0000
0.5000 0.5000 0.5000
```

***

Repeat the fourth record exactly.
# Sc7Cd2Co2
Simulated powder XRD pattern, Cu Kα (weighted mean of Kα1 and Kα2). Input: a GGA-PBE-relaxed structure.
No peak broadening, texture or thermal motion is included.

Top 10 peaks for 10 to 90 degrees two-theta, most intense first:
36.84°, I 100.0; 34.47°, I 76.3; 22.75°, I 73.8; 37.80°, I 45.6; 34.02°, I 34.5; 66.80°, I 29.1; 28.64°, I 27.0; 42.19°, I 26.0; 55.31°, I 25.5; 34.32°, I 24.9

Structure:
```
Sc7Cd2Co2
1.0
-1.6614 7.8385 4.5004
1.6614 -7.8385 4.5004
1.6614 7.8385 -4.5004
Sc Cd Co
7 2 2
Direct
0.0000 0.0000 0.0000
0.3007 0.4430 0.8578
0.3136 0.6315 0.6821
0.5852 0.4430 0.1422
0.6220 0.2752 0.3468
0.9285 0.2752 0.6532
0.9494 0.6315 0.3179
0.2819 0.7819 0.5000
0.6630 0.6630 0.0000
0.1695 0.9304 0.2391
0.6913 0.9304 0.7609
```